# ZrSc2PtN
Simulated XRD peak list, Cu Kα (weighted mean of Kα1 and Kα2). Input: a cell relaxed with GGA-PBE.

Top 10 peaks for 5 to 70 degrees two-theta, by angle:
- 2θ = 19.70°, rel. 26
- 2θ = 28.62°, rel. 17
- 2θ = 29.22°, rel. 28
- 2θ = 35.49°, rel. 100
- 2θ = 40.02°, rel. 21
- 2θ = 41.80°, rel. 36
- 2θ = 46.61°, rel. 12
- 2θ = 50.32°, rel. 13
- 2θ = 59.25°, rel. 25
- 2θ = 69.77°, rel. 14

Cell lengths 4.3218, 4.3218, 4.5058 Å; angles 90.00, 90.00, 90.00 degrees
Space group P4/mmm (No. 123)
Symmetry-distinct sites (fractional):
Zr 0.0000 0.0000 0.0000 x1
Sc 0.0000 0.5000 0.5000 x2
Pt 0.5000 0.5000 0.0000 x1
N 0.0000 0.0000 0.5000 x1

---

# SmTh2PtN4
Simulated XRD peak list, Cu Kα (weighted mean of Kα1 and Kα2). Input: a cell relaxed with GGA-PBE.

Top 10 peaks for 5 to 70 degrees two-theta, by angle:
- 2θ = 16.42°, rel. 40
- 2θ = 26.46°, rel. 44
- 2θ = 29.30°, rel. 24
- 2θ = 29.67°, rel. 68
- 2θ = 30.14°, rel. 100
- 2θ = 34.43°, rel. 38
- 2θ = 36.94°, rel. 94
- 2θ = 39.88°, rel. 30
- 2θ = 48.07°, rel. 22
- 2θ = 51.09°, rel. 27

Cell lengths 3.5371, 12.0428, 12.1943 Å; angles 90.00, 90.00, 90.00 degrees
Space group Cmcm (No. 63)
Symmetry-distinct sites (fractional):
Sm 0.0000 0.1142 0.2500 x4
Th 0.0000 0.3709 0.0568 x8
Pt 0.0000 0.1498 0.7500 x4
N 0.0000 0.0000 0.0000 x4
N 0.0000 0.2765 0.6168 x8
N 0.0000 0.4621 0.2500 x4

---

# Sr6PtN
Simulated XRD peak list, Cu Kα (weighted mean of Kα1 and Kα2). Input: a cell relaxed with GGA-PBE.

Top 10 peaks for 5 to 70 degrees two-theta, by angle:
- 2θ = 14.04°, rel. 84
- 2θ = 18.64°, rel. 27
- 2θ = 27.40°, rel. 100
- 2θ = 30.92°, rel. 13
- 2θ = 34.90°, rel. 46
- 2θ = 37.76°, rel. 16
- 2θ = 39.81°, rel. 26
- 2θ = 43.02°, rel. 26
- 2θ = 45.00°, rel. 12
- 2θ = 45.57°, rel. 10

Cell lengths 7.2876, 12.6055, 7.2583 Å; angles 90.00, 90.17, 90.00 degrees
Space group C2/m (No. 12)
Symmetry-distinct sites (fractional):
Sr 0.1475 0.1473 0.2199 x8
Sr 0.2059 0.5000 0.2190 x4
Pt 0.0000 0.0000 0.5000 x2
N 0.0000 0.0000 0.0000 x2

---

# SrTcPt2N
Simulated XRD peak list, Cu Kα (weighted mean of Kα1 and Kα2). Input: a cell relaxed with GGA-PBE.

Top 10 peaks for 5 to 70 degrees two-theta, by angle:
- 2θ = 14.63°, rel. 100
- 2θ = 18.97°, rel. 24
- 2θ = 29.50°, rel. 46
- 2θ = 30.81°, rel. 70
- 2θ = 38.50°, rel. 45
- 2θ = 41.39°, rel. 31
- 2θ = 49.23°, rel. 44
- 2θ = 53.18°, rel. 22
- 2θ = 64.17°, rel. 20
- 2θ = 64.90°, rel. 17

Cell lengths 4.6771, 4.6771, 6.0559 Å; angles 90.00, 90.00, 90.00 degrees
Space group P4/mmm (No. 123)
Symmetry-distinct sites (fractional):
Sr 0.0000 0.0000 0.0000 x1
Tc 0.0000 0.0000 0.5000 x1
Pt 0.0000 0.5000 0.5000 x2
N 0.5000 0.5000 0.0000 x1

---

# Ta3Pt2N
Simulated XRD peak list, Cu Kα (weighted mean of Kα1 and Kα2). Input: a cell relaxed with GGA-PBE.

Top 10 peaks for 5 to 70 degrees two-theta, by angle:
- 2θ = 28.27°, rel. 2
- 2θ = 38.25°, rel. 100
- 2θ = 40.41°, rel. 55
- 2θ = 42.48°, rel. 30
- 2θ = 48.24°, rel. 10
- 2θ = 55.21°, rel. 7
- 2θ = 58.48°, rel. 6
- 2θ = 66.20°, rel. 2
- 2θ = 67.69°, rel. 31
- 2θ = 69.16°, rel. 4

Cell lengths 7.0583, 7.0583, 7.0583 Å; angles 90.00, 90.00, 90.00 degrees
Space group P4_132 (No. 213)
Symmetry-distinct sites (fractional):
Ta 0.0463 0.1250 0.7963 x12
Pt 0.0591 0.9409 0.4409 x8
N 0.1250 0.3750 0.6250 x4

---

# TbPtN
Simulated XRD peak list, Cu Kα (weighted mean of Kα1 and Kα2). Input: a cell relaxed with GGA-PBE.

Top 8 peaks for 5 to 70 degrees two-theta, by angle:
- 2θ = 25.78°, rel. 2
- 2θ = 34.04°, rel. 100
- 2θ = 36.79°, rel. 47
- 2θ = 44.53°, rel. 14
- 2θ = 52.17°, rel. 1
- 2θ = 53.00°, rel. 17
- 2θ = 59.08°, rel. 24
- 2θ = 64.51°, rel. 33

Cell lengths 3.4553, 3.4553, 4.0696 Å; angles 90.00, 90.00, 90.00 degrees
Space group P4/mmm (No. 123)
Symmetry-distinct sites (fractional):
Tb 0.0000 0.0000 0.0000 x1
Pt 0.5000 0.5000 0.5000 x1
N 0.5000 0.5000 0.0000 x1